For BeAs4Cl2, the PBE geometry in Alexandria gives the computed XRD peak list in this record (Cu Kα (λ = 1.5418 Å)).
Neutral-atom scattering factors, no anomalous dispersion.

Largest 8 diffraction maxima, by angle, 10° ≤ 2θ ≤ 80°:
2theta  intensity
11.2  93
28.2  23
34.5  100
36.7  48
38.5  17
52.9  16
60.2  16
64.7  30

Structural model:
```
BeAs4Cl2
1.0
-2.446 2.446 7.896
2.446 -2.446 7.896
2.446 2.446 -7.896
Be As Cl
1 4 2
direct
0.000 0.000 0.000
0.000 0.500 0.500
0.129 0.129 0.000
0.500 0.000 0.500
0.871 0.871 0.000
0.400 0.400 0.000
0.600 0.600 0.000
```